The following is a theoretical XRD peak list of KMn3Ag4F12. It was derived from the PBE+U geometry in Alexandria, using Cu Kα (λ = 1.5418 Å).
Lines closer than 0.1° are merged.

Most intense lines, 10° ≤ 2θ ≤ 90°, by angle:
2θ = 14.3°, 6.205 Å, intensity 24
2θ = 24.8°, 3.597 Å, intensity 82
2θ = 24.9°, 3.582 Å, intensity 45
2θ = 28.4°, 3.140 Å, intensity 100
2θ = 32.2°, 2.781 Å, intensity 53
2θ = 37.8°, 2.382 Å, intensity 27
2θ = 43.5°, 2.079 Å, intensity 31
2θ = 43.7°, 2.071 Å, intensity 21
2θ = 48.4°, 1.879 Å, intensity 48
2θ = 53.2°, 1.721 Å, intensity 41

```
data_KMn3Ag4F12
_chemical_formula_sum 'K3 Mn9 Ag12 F36'
_cell_length_a 12.4094
_cell_length_b 12.4094
_cell_length_c 7.7387
_cell_angle_alpha 90.00
_cell_angle_beta 90.00
_cell_angle_gamma 120.00
_symmetry_space_group_name_H-M 'R 3 2'
_symmetry_Int_Tables_number 155
_symmetry_space_group_name_Hall 'R 3 2"'
loop_
_atom_site_label
_atom_site_type_symbol
_atom_site_fract_x
_atom_site_fract_y
_atom_site_fract_z
K1 K 0.0000 0.0000 0.0000
Mn1 Mn 0.0000 0.5744 0.0000
Ag1 Ag 0.0000 0.0000 0.5000
Ag2 Ag 0.0000 0.4126 0.5000
F1 F 0.0000 0.6047 0.5000
F2 F 0.0000 0.8187 0.5000
F3 F 0.0797 0.2221 0.1973
```